Entry 1:
Ho3AsS2: computed X-ray powder pattern (Cu Ka), based on a DFT-relaxed cell (GGA-PBE, Alexandria).
Lines closer than 0.1° are merged.

Peak list (10 most intense, 2θ from 10° to 90°, in order of rising 2θ)
5.065 Å, I = 1.1; 3.234 Å, I = 56.5; 2.801 Å, I = 100.0; 1.980 Å, I = 72.9; 1.689 Å, I = 27.6; 1.617 Å, I = 25.3; 1.400 Å, I = 11.7; 1.285 Å, I = 11.2; 1.252 Å, I = 32.5; 1.143 Å, I = 24.9

Crystal structure
```
data_Ho3AsS2
_space_group_name_H-M_alt 'P 1'
_space_group_IT_number 1
_cell_length_a 3.963
_cell_length_b 5.600
_cell_length_c 11.876
_cell_angle_alpha 90.00
_cell_angle_beta 90.00
_cell_angle_gamma 90.00
loop_
_space_group_symop_operation_xyz
'x,y,z'
loop_
_atom_site_label
_atom_site_fract_x
_atom_site_fract_y
_atom_site_fract_z
_atom_site_occupancy
Ho1 0.000 0.000 0.000 1
Ho2 0.000 0.000 0.331 1
Ho3 0.000 0.000 0.669 1
Ho4 0.500 0.500 0.169 1
Ho5 0.500 0.500 0.500 1
Ho6 0.500 0.500 0.831 1
As1 0.000 0.500 0.000 1
As2 0.500 0.000 0.500 1
S1 0.000 0.500 0.334 1
S2 0.000 0.500 0.666 1
S3 0.500 0.000 0.166 1
S4 0.500 0.000 0.834 1
```

=====

Entry 2:
KHAu: computed X-ray powder pattern (Cu Ka), based on a DFT-relaxed cell (GGA-PBE, Alexandria).
Lines closer than 0.1° are merged.

Peak list (10 most intense, 2θ from 10° to 90°, in order of rising 2θ)
5.947 Å, I = 36.6; 5.903 Å, I = 36.5; 4.179 Å, I = 49.8; 3.836 Å, I = 37.7; 3.220 Å, I = 55.4; 2.827 Å, I = 100.0; 2.661 Å, I = 25.5; 2.649 Å, I = 36.4; 2.180 Å, I = 27.5; 1.554 Å, I = 24.6

Crystal structure
```
data_KHAu
_space_group_name_H-M_alt 'P 1'
_space_group_IT_number 1
_cell_length_a 5.903
_cell_length_b 3.836
_cell_length_c 5.947
_cell_angle_alpha 90.00
_cell_angle_beta 90.28
_cell_angle_gamma 90.00
loop_
_space_group_symop_operation_xyz
'x,y,z'
loop_
_atom_site_label
_atom_site_fract_x
_atom_site_fract_y
_atom_site_fract_z
_atom_site_occupancy
K1 0.206 0.000 0.207 1
K2 0.794 0.000 0.793 1
H1 0.140 0.500 0.863 1
H2 0.860 0.500 0.137 1
Au1 0.342 0.500 0.659 1
Au2 0.658 0.500 0.341 1
```

=====

Entry 3:
Th4CdNi2: computed X-ray powder pattern (Cu Ka), based on a DFT-relaxed cell (GGA-PBE, Alexandria).
Lines closer than 0.1° are merged.

Peak list (10 most intense, 2θ from 10° to 90°, in order of rising 2θ)
3.264 Å, I = 100.0; 2.635 Å, I = 93.0; 2.577 Å, I = 15.5; 2.079 Å, I = 50.2; 1.754 Å, I = 17.7; 1.703 Å, I = 21.3; 1.632 Å, I = 22.2; 1.618 Å, I = 23.6; 1.340 Å, I = 14.9; 1.284 Å, I = 20.0

Crystal structure
```
data_Th4CdNi2
_space_group_name_H-M_alt 'P 1'
_space_group_IT_number 1
_cell_length_a 13.106
_cell_length_b 13.106
_cell_length_c 13.106
_cell_angle_alpha 18.25
_cell_angle_beta 18.25
_cell_angle_gamma 18.25
loop_
_space_group_symop_operation_xyz
'x,y,z'
loop_
_atom_site_label
_atom_site_fract_x
_atom_site_fract_y
_atom_site_fract_z
_atom_site_occupancy
Th1 0.106 0.106 0.106 1
Th2 0.302 0.302 0.302 1
Th3 0.698 0.698 0.698 1
Th4 0.894 0.894 0.894 1
Cd1 0.500 0.500 0.500 1
Ni1 0.401 0.401 0.401 1
Ni2 0.599 0.599 0.599 1
```

=====

Entry 4:
Ce4Rh: computed X-ray powder pattern (Cu Ka), based on a DFT-relaxed cell (GGA-PBE, Alexandria).
Lines closer than 0.1° are merged.

Peak list (10 most intense, 2θ from 10° to 90°, in order of rising 2θ)
4.289 Å, I = 17.1; 3.033 Å, I = 31.9; 2.691 Å, I = 100.0; 2.642 Å, I = 30.8; 2.250 Å, I = 51.2; 2.145 Å, I = 21.5; 1.975 Å, I = 15.8; 1.677 Å, I = 16.2; 1.665 Å, I = 21.2; 1.501 Å, I = 18.7

Crystal structure
```
data_Ce4Rh
_space_group_name_H-M_alt 'P 1'
_space_group_IT_number 1
_cell_length_a 6.983
_cell_length_b 6.980
_cell_length_c 8.578
_cell_angle_alpha 52.11
_cell_angle_beta 52.08
_cell_angle_gamma 75.81
loop_
_space_group_symop_operation_xyz
'x,y,z'
loop_
_atom_site_label
_atom_site_fract_x
_atom_site_fract_y
_atom_site_fract_z
_atom_site_occupancy
Ce1 0.014 0.986 0.199 1
Ce2 0.024 0.422 0.793 1
Ce3 0.051 0.449 0.236 1
Ce4 0.422 0.024 0.762 1
Ce5 0.449 0.051 0.264 1
Ce6 0.457 0.488 0.226 1
Ce7 0.488 0.457 0.828 1
Ce8 0.986 0.014 0.801 1
Rh1 0.611 0.611 0.389 1
Rh2 0.861 0.861 0.639 1
```